Sc2Re2O: computed PXRD pattern (Cu Kα), based on DFT lattice parameters and positions (GGA-PBE).

Principal peaks in the range 5 to 70 degrees two-theta, sorted by position:
- 2θ 18.31, d 4.845, I 60, hkl 0 0 1
- 2θ 21.84, d 4.069, I 13, hkl 1 1 0
- 2θ 31.09, d 2.877, I 11, hkl 2 0 0
- 2θ 34.87, d 2.573, I 27, hkl 2 1 0
- 2θ 37.12, d 2.422, I 28, hkl 0 0 2
- 2θ 39.66, d 2.273, I 100, hkl 2 1 1
- 2θ 50.13, d 1.820, I 14, hkl 3 1 0
- 2θ 51.84, d 1.764, I 18, hkl 2 1 2
- 2θ 53.82, d 1.703, I 10, hkl 3 1 1
- 2θ 64.00, d 1.455, I 13, hkl 3 1 2
- 2θ 68.61, d 1.368, I 20, hkl 2 1 3
- 2θ 69.28, d 1.356, I 7, hkl 3 3 0

Cell and atoms:
```
10
Lattice="5.7540 0.0000 0.0000 0.0000 5.7540 0.0000 0.0000 0.0000 4.8446" Properties=species:S:1:pos:R:3 pbc="T T T"
Sc 0.9552 1.9218 0.0000
Sc 1.9218 4.7988 0.0000
Sc 3.8322 0.9552 0.0000
Sc 4.7988 3.8322 0.0000
Re 0.9018 3.7788 2.4223
Re 1.9752 0.9018 2.4223
Re 3.7788 4.8522 2.4223
Re 4.8522 1.9752 2.4223
O 0.0000 0.0000 2.4223
O 2.8770 2.8770 2.4223
```

***

Na2Mg2Cd: computed PXRD pattern (Cu Kα), based on DFT lattice parameters and positions (GGA-PBE).

Principal peaks in the range 5 to 70 degrees two-theta, sorted by position:
- 2θ 15.07, d 5.880, I 78, hkl 1 1 0
- 2θ 21.37, d 4.158, I 39, hkl 2 0 0
- 2θ 21.98, d 4.045, I 33, hkl 0 0 1
- 2θ 26.75, d 3.332, I 81, hkl 1 1 1
- 2θ 30.40, d 2.940, I 37, hkl 2 2 0
- 2θ 30.84, d 2.899, I 69, hkl 2 0 1
- 2θ 32.71, d 2.738, I 46, hkl 2 1 1
- 2θ 34.09, d 2.630, I 100, hkl 3 1 0
- 2θ 37.83, d 2.378, I 31, hkl 2 2 1
- 2θ 40.94, d 2.205, I 54, hkl 3 1 1
- 2θ 48.99, d 1.859, I 23, hkl 4 2 0
- 2θ 57.49, d 1.603, I 42, hkl 3 1 2

Cell and atoms:
```
10
Lattice="8.3157 0.0000 0.0000 0.0000 8.3157 0.0000 0.0000 0.0000 4.0445" Properties=species:S:1:pos:R:3 pbc="T T T"
Na 1.1906 2.9673 0.0000
Na 2.9673 7.1251 0.0000
Na 5.3484 1.1906 0.0000
Na 7.1251 5.3484 0.0000
Mg 1.3004 5.4583 2.0223
Mg 2.8574 1.3004 2.0223
Mg 5.4583 7.0153 2.0223
Mg 7.0153 2.8574 2.0223
Cd 0.0000 0.0000 0.0000
Cd 4.1578 4.1578 0.0000
```